(1)
The following is a calculated powder diffraction line list of MgTl2Fe2S4. It was derived from DFT lattice parameters and positions (GGA-PBE), using copper Kα.

Cell: 12.5679 5.0139 7.4382 Å, 90.00 118.85 90.00°
Space group Cm (No. 8)
Inequivalent atoms, fractional coordinates:
Mg: 0.0000 0.0000 0.0000 x2
Tl: 0.0501 0.5000 0.4819 x2
Tl: 0.3486 0.5000 0.5110 x2
Fe: 0.1911 0.2494 0.9814 x4
S: 0.0287 0.5000 0.8761 x2
S: 0.1906 0.0000 0.7501 x2
S: 0.2170 0.0000 0.2439 x2
S: 0.3512 0.5000 0.1209 x2

Principal peaks in the range 2θ = 10–90°, by intensity:
- 2θ = 30.18°, I 100, hkl 3 1 0
- 2θ = 30.36°, I 69, hkl 1 1 -2
- 2θ = 38.47°, I 67, hkl 4 0 -3
- 2θ = 27.38°, I 59, hkl 0 0 2
- 2θ = 27.82°, I 54, hkl 3 1 -1
- 2θ = 15.26°, I 53, hkl 2 0 -1

=====

(2)
The following is a calculated powder diffraction line list of CeAsS. It was derived from DFT lattice parameters and positions (GGA-PBE), using copper Kα.

Cell: 17.0836 3.9510 3.9417 Å, 90.00 90.00 90.00°
Space group Pnma (No. 62)
Inequivalent atoms, fractional coordinates:
Ce: 0.1456 0.2500 0.2181 x4
As: 0.0014 0.2500 0.7209 x4
S: 0.1845 0.7500 0.7180 x4

Principal peaks in the range 2θ = 10–90°, by intensity:
- 2θ = 38.54°, I 100, hkl 4 1 1
- 2θ = 24.85°, I 95, hkl 2 1 0
- 2θ = 33.79°, I 66, hkl 2 1 1
- 2θ = 31.42°, I 45, hkl 6 0 0
- 2θ = 39.01°, I 35, hkl 6 0 1
- 2θ = 56.76°, I 30, hkl 6 2 0

=====

(3)
The following is a calculated powder diffraction line list of TeMoWSeS2. It was derived from DFT lattice parameters and positions (GGA-PBE), using copper Kα.

Cell: 3.3066 3.3066 37.5931 Å, 90.00 90.00 120.00°
Space group P3m1 (No. 156)
Inequivalent atoms, fractional coordinates:
Te: 0.0000 0.0000 0.0000 x1
Te: 0.0000 0.0000 0.1016 x1
Mo: 0.0000 0.0000 0.2387 x1
Mo: 0.6667 0.3333 0.0508 x1
W: 0.0000 0.0000 0.6144 x1
W: 0.6667 0.3333 0.4266 x1
Se: 0.6667 0.3333 0.5696 x1
Se: 0.6667 0.3333 0.6593 x1
S: 0.0000 0.0000 0.3858 x1
S: 0.0000 0.0000 0.4673 x1
S: 0.6667 0.3333 0.1981 x1
S: 0.6667 0.3333 0.2794 x1

Principal peaks in the range 2θ = 10–90°, by intensity:
- 2θ = 11.77°, I 100, hkl 0 0 5
- 2θ = 36.75°, I 77, hkl 0 1 8
- 2θ = 44.53°, I 39, hkl 1 0 13
- 2θ = 31.26°, I 37, hkl 1 0 0
- 2θ = 14.14°, I 27, hkl 0 0 6
- 2θ = 55.59°, I 23, hkl 1 1 0